Starting from a cell relaxed with GGA-PBE, the powder XRD pattern of UAsS was simulated for CuKα.
No peak broadening, texture or thermal motion is included.

Largest 10 diffraction maxima, most intense first, 15 to 90 degrees two-theta:
index  2θ (°)  d (Å)  Rel. int.
1 0 1  25.56  3.484  100
1 1 2  39.81  2.264  67
1 1 1  34.69  2.586  31
2 0 0  47.12  1.929  30
2 1 1  54.37  1.687  28
1 0 3  40.71  2.216  25
0 0 3  33.08  2.708  25
1 1 0  32.84  2.727  24
2 0 3  58.78  1.571  20
3 1 2  82.59  1.168  17

Cell and atoms:
a b c (Å): 3.8572 3.8572 8.1239
angles (deg): 90.00 90.00 90.00
Sites, in units of the cell vectors:
U1 0.2500 0.2500 0.2080
U2 0.7500 0.7500 0.7920
As1 0.2500 0.7500 0.5000
As2 0.7500 0.2500 0.5000
S1 0.2500 0.2500 0.8638
S2 0.7500 0.7500 0.1362